[1]
The following is a computed XRD peak list of SmCdP2Pt7. It was derived from a cell relaxed with PBE, using copper Kα.

Crystal structure
```
data_SmCdP2Pt7
_space_group_name_H-M_alt 'I -4 m 2'
_space_group_IT_number 119
_space_group_name_Hall 'I -4 -2'
_cell_length_a 4.0377
_cell_length_b 4.0377
_cell_length_c 29.5975
_cell_angle_alpha 90.00
_cell_angle_beta 90.00
_cell_angle_gamma 90.00
loop_
_atom_site_label
_atom_site_type_symbol
_atom_site_fract_x
_atom_site_fract_y
_atom_site_fract_z
Sm1 Sm 0.0000 0.0000 0.0000
Cd1 Cd 0.0000 0.5000 0.2500
P1 P 0.0000 0.0000 0.3820
Pt1 Pt 0.0000 0.0000 0.3090
Pt2 Pt 0.0000 0.0000 0.5000
Pt3 Pt 0.0000 0.5000 0.0757
Pt4 Pt 0.0000 0.5000 0.5756
```

Top 12 peaks for 10° ≤ 2θ ≤ 90°, by intensity:
d 2.471, 2θ = 36.36°, rel. 100, (1 1 6); d 2.019, 2θ = 44.90°, rel. 35, (2 0 0); d 1.236, 2θ = 77.18°, rel. 25, (3 1 6); d 3.737, 2θ = 23.81°, rel. 18, (1 0 3); d 2.055, 2θ = 44.07°, rel. 16, (1 1 10); d 3.336, 2θ = 26.73°, rel. 14, (1 0 5); d 1.428, 2θ = 65.37°, rel. 12, (2 2 0); d 2.664, 2θ = 33.65°, rel. 11, (1 1 4); d 4.001, 2θ = 22.22°, rel. 10, (1 0 1); d 1.562, 2θ = 59.14°, rel. 10, (2 0 12); d 2.260, 2θ = 39.88°, rel. 9, (1 1 8); d 1.314, 2θ = 71.86°, rel. 9, (1 1 20)

=====

[2]
The following is a computed XRD peak list of UTlRuO6. It was derived from a cell relaxed with PBE, using copper Kα.

Crystal structure
```
data_UTlRuO6
_space_group_name_H-M_alt 'I m m a'
_space_group_IT_number 74
_space_group_name_Hall '-I 2b 2'
_cell_length_a 7.2344
_cell_length_b 7.8671
_cell_length_c 10.7132
_cell_angle_alpha 90.00
_cell_angle_beta 90.00
_cell_angle_gamma 90.00
loop_
_atom_site_label
_atom_site_type_symbol
_atom_site_fract_x
_atom_site_fract_y
_atom_site_fract_z
U1 U 0.0000 0.0000 0.0000
Tl1 Tl 0.0000 0.2500 0.3535
Ru1 Ru 0.2500 0.2500 0.7500
O1 O 0.0000 0.2500 0.0818
O2 O 0.0000 0.2500 0.7110
O3 O 0.2038 0.0703 0.8761
```

Top 12 peaks for 10° ≤ 2θ ≤ 90°, by intensity:
d 3.289, 2θ = 27.11°, rel. 100, (1 2 1); d 3.202, 2θ = 27.86°, rel. 66, (1 0 3); d 3.171, 2θ = 28.15°, rel. 59, (0 2 2); d 3.142, 2θ = 28.41°, rel. 55, (2 1 1); d 1.888, 2θ = 48.19°, rel. 51, (2 2 4); d 3.777, 2θ = 23.56°, rel. 37, (1 1 2); d 5.995, 2θ = 14.78°, rel. 30, (1 0 1); d 2.998, 2θ = 29.80°, rel. 24, (2 0 2); d 3.617, 2θ = 24.61°, rel. 23, (2 0 0); d 1.676, 2θ = 54.77°, rel. 22, (1 4 3); d 2.019, 2θ = 44.89°, rel. 22, (3 2 1); d 1.998, 2θ = 45.38°, rel. 22, (3 0 3)